Starting from a cell relaxed with PBE, the powder diffractogram of SrGdZnIr was simulated for Cu Kα (λ = 1.5418 Å).

Principal peaks in the range 10° ≤ 2θ ≤ 80°, in order of falling intensity:
2theta	d (Å)	intensity	index
35.24	2.547	100	2 2 0
63.25	1.470	36	4 2 2
50.70	1.801	18	4 0 0
21.37	4.158	17	1 1 1
74.52	1.273	11	4 4 0
41.58	2.172	9	3 1 1

```
data_SrGdZnIr
_chemical_formula_sum 'Sr4 Gd4 Zn4 Ir4'
_cell_length_a 7.203
_cell_length_b 7.203
_cell_length_c 7.203
_cell_angle_alpha 90.00
_cell_angle_beta 90.00
_cell_angle_gamma 90.00
_symmetry_space_group_name_H-M 'F -4 3 m'
_symmetry_Int_Tables_number 216
_symmetry_space_group_name_Hall 'F -4 2 3'
loop_
_atom_site_label
_atom_site_type_symbol
_atom_site_fract_x
_atom_site_fract_y
_atom_site_fract_z
Sr1 Sr 0.000 0.000 0.000
Gd1 Gd 0.000 0.000 0.500
Zn1 Zn 0.250 0.250 0.750
Ir1 Ir 0.250 0.250 0.250
```